Diffraction record for CaSmPd10. The powder diffraction line list is simulated, not measured: it uses a crystal structure in Alexandria, relaxed with PBE and Cu Kα (λ = 1.5418 Å).
Kinematic intensities with the Lorentz-polarization factor, no thermal factor.

Atomic structure:
Lattice parameters (Å, degrees): 4.490 5.332 9.242 90.00 90.00 90.00
Positions (direct):
Ca (0.000, 0.000, 0.000)
Sm (0.000, 0.500, 0.500)
Pd (0.000, 0.000, 0.335)
Pd (0.000, 0.000, 0.665)
Pd (0.000, 0.500, 0.168)
Pd (0.000, 0.500, 0.832)
Pd (0.500, 0.000, 0.500)
Pd (0.500, 0.251, 0.252)
Pd (0.500, 0.251, 0.748)
Pd (0.500, 0.500, 0.000)
Pd (0.500, 0.749, 0.252)
Pd (0.500, 0.749, 0.748)

Top 8 peaks for 10° ≤ 2θ ≤ 90°, by angle:
(0 0 2), 19.2 deg, rel. 264
(0 0 4), 39.0 deg, rel. 282
(1 2 0), 39.3 deg, rel. 1000
(2 0 0), 40.2 deg, rel. 359
(1 2 2), 44.1 deg, rel. 461
(1 3 3), 63.9 deg, rel. 231
(0 4 0), 70.6 deg, rel. 198
(2 4 0), 84.5 deg, rel. 243